[1]
Calculated powder X-ray diffraction pattern of KGdHf4O12 for Cu Kα (λ = 1.5418 Å), from DFT lattice parameters and positions (PBE).
Peak positions follow from Bragg's law for the DFT cell and can differ from measured ones.

Most intense lines, 2θ = 10–80°, low angle first:
| d [Å] | intensity |
| --- | --- |
| 5.799 | 52.5 |
| 4.169 | 100.0 |
| 3.864 | 75.9 |
| 3.810 | 78.6 |
| 2.319 | 56.3 |
| 2.162 | 55.8 |

Atomic structure:
```
KGdHf4O12
1.0
11.5977 0.0000 0.0000
0.0000 5.9972 5.0534
0.0000 -5.9972 5.0534
K Gd Hf O
1 1 4 12
Direct
0.0000 0.0000 0.0000 K
0.5000 0.4352 0.4352 Gd
0.2442 0.5050 0.9511 Hf
0.2442 0.9511 0.5050 Hf
0.7558 0.5050 0.9511 Hf
0.7558 0.9511 0.5050 Hf
0.0000 0.5072 0.9623 O
0.0000 0.9623 0.5072 O
0.2592 0.2194 0.7428 O
0.2586 0.2559 0.2559 O
0.2592 0.7428 0.2194 O
0.3176 0.6761 0.6761 O
0.5000 0.0740 0.4801 O
0.5000 0.4801 0.0740 O
0.6824 0.6761 0.6761 O
0.7408 0.2194 0.7428 O
0.7414 0.2559 0.2559 O
0.7408 0.7428 0.2194 O
```

***

[2]
Calculated powder X-ray diffraction pattern of KGdHfTiO6 for Cu Kα (λ = 1.5418 Å), from DFT lattice parameters and positions (PBE).
Peak positions follow from Bragg's law for the DFT cell and can differ from measured ones.

Most intense lines, 2θ = 10–80°, low angle first:
| d [Å] | intensity |
| --- | --- |
| 4.629 | 41.5 |
| 2.834 | 100.0 |
| 2.417 | 26.0 |
| 2.004 | 32.1 |
| 1.636 | 39.1 |
| 1.417 | 19.2 |

Atomic structure:
```
KGdHfTiO6
1.0
0.0000 4.0085 4.0085
4.0085 0.0000 4.0085
4.0085 4.0085 0.0000
K Gd Hf Ti O
1 1 1 1 6
Direct
0.0000 0.0000 0.0000 K
0.5000 0.5000 0.5000 Gd
0.2500 0.2500 0.2500 Hf
0.7500 0.7500 0.7500 Ti
0.5062 0.5062 0.9938 O
0.5062 0.9938 0.5062 O
0.5062 0.9938 0.9938 O
0.9938 0.5062 0.5062 O
0.9938 0.5062 0.9938 O
0.9938 0.9938 0.5062 O
```

***

[3]
Calculated powder X-ray diffraction pattern of NaGdHf2O6 for Cu Kα (λ = 1.5418 Å), from DFT lattice parameters and positions (PBE).
Peak positions follow from Bragg's law for the DFT cell and can differ from measured ones.

Most intense lines, 2θ = 10–80°, low angle first:
| d [Å] | intensity |
| --- | --- |
| 4.091 | 21.0 |
| 2.893 | 100.0 |
| 2.045 | 29.5 |
| 1.670 | 40.9 |
| 1.446 | 18.4 |
| 1.294 | 17.7 |

Atomic structure:
```
NaGdHf2O6
1.0
0.0000 4.0910 4.0910
4.0910 0.0000 4.0910
4.0910 4.0910 0.0000
Na Gd Hf O
1 1 2 6
Direct
0.0000 0.0000 0.0000 Na
0.5000 0.5000 0.5000 Gd
0.2500 0.2500 0.2500 Hf
0.7500 0.7500 0.7500 Hf
0.0000 0.0000 0.5000 O
0.0000 0.5000 0.0000 O
0.0000 0.5000 0.5000 O
0.5000 0.0000 0.0000 O
0.5000 0.0000 0.5000 O
0.5000 0.5000 0.0000 O
```

***

[4]
Calculated powder X-ray diffraction pattern of Gd2Hf2O7 for Cu Kα (λ = 1.5418 Å), from DFT lattice parameters and positions (PBE).
Peak positions follow from Bragg's law for the DFT cell and can differ from measured ones.

Most intense lines, 2θ = 10–80°, low angle first:
| d [Å] | intensity |
| --- | --- |
| 3.057 | 100.0 |
| 2.648 | 36.4 |
| 1.872 | 46.2 |
| 1.597 | 44.6 |
| 1.529 | 10.8 |
| 1.215 | 18.2 |

Atomic structure:
```
Gd2Hf2O7
1.0
0.0000 5.2953 5.2953
5.2953 0.0000 5.2953
5.2953 5.2953 0.0000
Gd Hf O
4 4 14
Direct
0.0000 0.0000 0.0000 Gd
0.0000 0.0000 0.5000 Gd
0.0000 0.5000 0.0000 Gd
0.5000 0.0000 0.0000 Gd
0.0000 0.5000 0.5000 Hf
0.5000 0.0000 0.5000 Hf
0.5000 0.5000 0.0000 Hf
0.5000 0.5000 0.5000 Hf
0.1250 0.1250 0.1250 O
0.1647 0.1647 0.5853 O
0.1647 0.5853 0.1647 O
0.1647 0.5853 0.5853 O
0.4147 0.4147 0.8353 O
0.4147 0.8353 0.4147 O
0.4147 0.8353 0.8353 O
0.5853 0.1647 0.1647 O
0.5853 0.1647 0.5853 O
0.5853 0.5853 0.1647 O
0.8353 0.4147 0.4147 O
0.8353 0.4147 0.8353 O
0.8353 0.8353 0.4147 O
0.8750 0.8750 0.8750 O
```

***

[5]
Calculated powder X-ray diffraction pattern of GdHg for Cu Kα (λ = 1.5418 Å), from DFT lattice parameters and positions (PBE).
Peak positions follow from Bragg's law for the DFT cell and can differ from measured ones.

Most intense lines, 2θ = 10–80°, low angle first:
| d [Å] | intensity |
| --- | --- |
| 3.760 | 1.8 |
| 2.659 | 100.0 |
| 1.880 | 18.3 |
| 1.682 | 0.9 |
| 1.535 | 38.2 |
| 1.330 | 11.9 |

Atomic structure:
```
GdHg
1.0
3.7604 0.0000 0.0000
0.0000 3.7604 0.0000
0.0000 0.0000 3.7604
Gd Hg
1 1
Direct
0.0000 0.0000 0.0000 Gd
0.5000 0.5000 0.5000 Hg
```